1.
Starting from a GGA-PBE-relaxed structure, the XRD peak list of Cs3HoO3 was calculated for Cu Kα, 1.54184 Å.
Lines closer than 0.1° are merged.

Cell and atoms:
abc: 8.3237 7.6272 12.2846
angles: 90.00 95.26 90.00
Fractional coordinates of all 28 atoms:
Cs  0.0633  0.1199  0.1552
Cs  0.0633  0.3801  0.6552
Cs  0.3545  0.1690  0.9218
Cs  0.3545  0.3310  0.4218
Cs  0.3773  0.6918  0.8083
Cs  0.3773  0.8082  0.3083
Cs  0.6227  0.1918  0.6917
Cs  0.6227  0.3082  0.1917
Cs  0.6454  0.6690  0.5782
Cs  0.6454  0.8310  0.0782
Cs  0.9367  0.6199  0.3448
Cs  0.9367  0.8801  0.8448
Ho  0.1578  0.5865  0.0658
Ho  0.1578  0.9135  0.5658
Ho  0.8422  0.0865  0.4342
Ho  0.8422  0.4135  0.9342
O  0.1008  0.0518  0.4105
O  0.1008  0.4482  0.9105
O  0.2467  0.6549  0.5430
O  0.2467  0.8451  0.0430
O  0.3047  0.0574  0.6840
O  0.3047  0.4426  0.1840
O  0.6953  0.5574  0.8160
O  0.6953  0.9426  0.3160
O  0.7533  0.1549  0.9570
O  0.7533  0.3451  0.4570
O  0.8992  0.5518  0.0895
O  0.8992  0.9482  0.5895

Largest 10 diffraction maxima, low angle first, 2θ from 15° to 90°:
two_theta, d_spacing, I/Imax
24.82, 3.588, 15.7
25.71, 3.465, 10.4
26.20, 3.401, 30.4
27.04, 3.298, 100.0
27.48, 3.245, 37.0
31.52, 2.838, 35.5
33.26, 2.693, 10.4
34.68, 2.587, 13.5
40.44, 2.230, 9.3
47.81, 1.902, 11.8

2.
Starting from a GGA-PBE-relaxed structure, the XRD peak list of Lu2Pt was calculated for Cu Kα, 1.54184 Å.
Lines closer than 0.1° are merged.

Cell and atoms:
abc: 7.0159 4.6889 8.6339
angles: 90.00 90.00 90.00
Fractional coordinates of all 12 atoms:
Lu  0.0115  0.2500  0.1684
Lu  0.1450  0.2500  0.5793
Lu  0.3550  0.7500  0.0793
Lu  0.4885  0.7500  0.6684
Lu  0.5115  0.2500  0.3316
Lu  0.6450  0.2500  0.9207
Lu  0.8550  0.7500  0.4207
Lu  0.9885  0.7500  0.8316
Pt  0.2420  0.2500  0.9055
Pt  0.2580  0.7500  0.4055
Pt  0.7420  0.2500  0.5945
Pt  0.7580  0.7500  0.0945

Largest 10 diffraction maxima, low angle first, 2θ from 15° to 90°:
two_theta, d_spacing, I/Imax
30.91, 2.893, 84.4
31.86, 2.809, 33.6
32.90, 2.722, 23.2
33.55, 2.671, 100.0
36.64, 2.453, 69.1
38.40, 2.344, 65.8
44.04, 2.056, 21.9
44.55, 2.034, 23.9
45.10, 2.010, 29.2
70.75, 1.332, 22.2

3.
Starting from a GGA-PBE-relaxed structure, the XRD peak list of PrGaPd was calculated for Cu Kα, 1.54184 Å.
Lines closer than 0.1° are merged.

Cell and atoms:
abc: 7.1079 4.5765 7.9307
angles: 90.00 90.00 90.00
Fractional coordinates of all 12 atoms:
Pr  0.0311  0.2500  0.1902
Pr  0.4689  0.7500  0.6902
Pr  0.5311  0.2500  0.3098
Pr  0.9689  0.7500  0.8098
Ga  0.1590  0.2500  0.5687
Ga  0.3410  0.7500  0.0687
Ga  0.6590  0.2500  0.9313
Ga  0.8410  0.7500  0.4313
Pd  0.2180  0.7500  0.3906
Pd  0.2820  0.2500  0.8906
Pd  0.7180  0.7500  0.1094
Pd  0.7820  0.2500  0.6094

Largest 10 diffraction maxima, low angle first, 2θ from 15° to 90°:
two_theta, d_spacing, I/Imax
32.42, 2.761, 50.0
33.88, 2.646, 100.0
36.26, 2.478, 13.7
39.37, 2.289, 71.1
39.70, 2.270, 16.5
44.55, 2.034, 13.0
52.88, 1.731, 15.0
57.16, 1.612, 11.1
64.59, 1.443, 14.2
67.89, 1.381, 15.3

4.
Starting from a GGA-PBE-relaxed structure, the XRD peak list of CsCeSiSe4 was calculated for Cu Kα, 1.54184 Å.
Lines closer than 0.1° are merged.

Cell and atoms:
abc: 6.8123 7.1644 18.7963
angles: 90.00 90.00 90.00
Fractional coordinates of all 28 atoms:
Cs  0.0038  0.0057  0.0337
Cs  0.4962  0.9943  0.5337
Cs  0.5038  0.4943  0.9663
Cs  0.9962  0.5057  0.4663
Ce  0.2080  0.5234  0.7266
Ce  0.2920  0.4766  0.2266
Ce  0.7080  0.9766  0.2734
Ce  0.7920  0.0234  0.7734
Si  0.2129  0.0151  0.3357
Si  0.2871  0.9849  0.8357
Si  0.7129  0.4849  0.6643
Si  0.7871  0.5151  0.1643
Se  0.0529  0.5107  0.0915
Se  0.0668  0.7491  0.8579
Se  0.1047  0.2530  0.8499
Se  0.1179  0.0655  0.2203
Se  0.3821  0.9345  0.7203
Se  0.3953  0.7470  0.3499
Se  0.4332  0.2509  0.3579
Se  0.4471  0.4893  0.5915
Se  0.5529  0.9893  0.9085
Se  0.5668  0.7509  0.1421
Se  0.6047  0.2470  0.1501
Se  0.6179  0.4345  0.7797
Se  0.8821  0.5655  0.2797
Se  0.8953  0.7530  0.6501
Se  0.9332  0.2491  0.6421
Se  0.9471  0.0107  0.4085

Largest 10 diffraction maxima, low angle first, 2θ from 15° to 90°:
two_theta, d_spacing, I/Imax
24.86, 3.582, 47.8
27.09, 3.291, 79.2
27.86, 3.202, 62.0
28.55, 3.126, 66.7
29.87, 2.991, 85.5
31.41, 2.848, 100.0
31.63, 2.829, 58.4
32.43, 2.761, 47.3
37.68, 2.387, 70.8
41.13, 2.195, 44.5

5.
Starting from a GGA-PBE-relaxed structure, the XRD peak list of MgCd was calculated for Cu Kα, 1.54184 Å.
Lines closer than 0.1° are merged.

Cell and atoms:
abc: 3.1844 5.2424 5.3036
angles: 90.00 90.00 90.00
Fractional coordinates of all 4 atoms:
Mg  0.2500  0.2500  0.0860
Mg  0.7500  0.7500  0.9140
Cd  0.2500  0.7500  0.4055
Cd  0.7500  0.2500  0.5945

Largest 10 diffraction maxima, low angle first, 2θ from 15° to 90°:
two_theta, d_spacing, I/Imax
16.72, 5.304, 69.5
23.87, 3.728, 29.8
32.80, 2.730, 30.8
32.91, 2.722, 40.2
34.21, 2.621, 45.1
37.13, 2.421, 100.0
38.03, 2.366, 56.7
48.12, 1.891, 20.3
63.17, 1.472, 19.7
70.76, 1.331, 19.3

6.
Starting from a GGA-PBE-relaxed structure, the XRD peak list of Bi2Pb3F12 was calculated for Cu Kα, 1.54184 Å.
Lines closer than 0.1° are merged.

Cell and atoms:
abc: 4.3239 4.3348 17.2561
angles: 84.65 83.78 60.31
Fractional coordinates of all 17 atoms:
Bi  0.0000  0.0000  0.0000
Bi  0.4286  0.5615  0.7908
Pb  0.1191  0.3719  0.4047
Pb  0.5056  0.7441  0.2047
Pb  0.7263  0.9437  0.6035
F  0.0389  0.3545  0.5467
F  0.1559  0.3750  0.2459
F  0.1963  0.3974  0.9950
F  0.3240  0.6700  0.6509
F  0.4650  0.7794  0.9123
F  0.4747  0.7142  0.3550
F  0.5040  0.7301  0.0616
F  0.5732  0.9930  0.7577
F  0.7710  0.0247  0.4520
F  0.8509  0.1486  0.8657
F  0.8538  0.0381  0.1429
F  0.9159  0.3665  0.7204

Largest 10 diffraction maxima, low angle first, 2θ from 15° to 90°:
two_theta, d_spacing, I/Imax
25.09, 3.549, 94.8
25.25, 3.527, 100.0
25.42, 3.504, 87.8
26.00, 3.427, 97.6
29.01, 3.078, 50.2
29.44, 3.034, 48.6
29.93, 2.986, 47.4
41.75, 2.164, 58.9
42.08, 2.147, 33.5
42.65, 2.120, 47.6

7.
Starting from a GGA-PBE-relaxed structure, the XRD peak list of Al11AgO17 was calculated for Cu Kα, 1.54184 Å.
Lines closer than 0.1° are merged.

Cell and atoms:
abc: 5.6557 5.6557 22.7922
angles: 90.00 90.00 120.04
Fractional coordinates of all 58 atoms:
Al  0.0000  0.0000  0.0000
Al  0.0000  0.0000  0.5000
Al  0.1671  0.8329  0.6054
Al  0.1671  0.8329  0.8946
Al  0.1690  0.3354  0.6077
Al  0.1690  0.3354  0.8923
Al  0.3323  0.6677  0.1755
Al  0.3323  0.6677  0.3245
Al  0.3331  0.6669  0.0248
Al  0.3331  0.6669  0.4752
Al  0.3354  0.1690  0.1077
Al  0.3354  0.1690  0.3923
Al  0.6646  0.8310  0.6077
Al  0.6646  0.8310  0.8923
Al  0.6669  0.3331  0.5248
Al  0.6669  0.3331  0.9752
Al  0.6677  0.3323  0.6755
Al  0.6677  0.3323  0.8245
Al  0.8310  0.6646  0.1077
Al  0.8310  0.6646  0.3923
Al  0.8329  0.1671  0.1054
Al  0.8329  0.1671  0.3946
Ag  0.2428  0.7572  0.7500
Ag  0.7572  0.2428  0.2500
O  0.0008  0.9992  0.6414
O  0.0008  0.9992  0.8586
O  0.0076  0.5059  0.6458
O  0.0076  0.5059  0.8542
O  0.1561  0.3144  0.0495
O  0.1561  0.3144  0.4505
O  0.1574  0.8426  0.0502
O  0.1574  0.8426  0.4498
O  0.3144  0.1561  0.5495
O  0.3144  0.1561  0.9505
O  0.3192  0.6808  0.2500
O  0.3339  0.6661  0.5555
O  0.3339  0.6661  0.9445
O  0.4941  0.9924  0.6458
O  0.4941  0.9924  0.8542
O  0.4994  0.5006  0.6454
O  0.4994  0.5006  0.8546
O  0.5006  0.4994  0.1454
O  0.5006  0.4994  0.3546
O  0.5059  0.0076  0.1458
O  0.5059  0.0076  0.3542
O  0.6661  0.3339  0.0555
O  0.6661  0.3339  0.4445
O  0.6808  0.3192  0.7500
O  0.6856  0.8439  0.0495
O  0.6856  0.8439  0.4505
O  0.8426  0.1574  0.5502
O  0.8426  0.1574  0.9498
O  0.8439  0.6856  0.5495
O  0.8439  0.6856  0.9505
O  0.9924  0.4941  0.1458
O  0.9924  0.4941  0.3542
O  0.9992  0.0008  0.1414
O  0.9992  0.0008  0.3586

Largest 10 diffraction maxima, low angle first, 2θ from 15° to 90°:
two_theta, d_spacing, I/Imax
18.53, 4.787, 49.5
19.73, 4.500, 80.9
23.96, 3.715, 33.3
33.04, 2.711, 100.0
35.45, 2.532, 47.6
36.92, 2.435, 29.5
40.09, 2.249, 32.5
44.00, 2.058, 49.9
66.11, 1.413, 37.2
69.31, 1.356, 34.0

8.
Starting from a GGA-PBE-relaxed structure, the XRD peak list of SiHg2O2F6 was calculated for Cu Kα, 1.54184 Å.
Lines closer than 0.1° are merged.

Cell and atoms:
abc: 5.1153 9.0810 8.5314
angles: 90.00 112.57 90.00
Fractional coordinates of all 22 atoms:
Si  0.0000  0.0000  0.0000
Si  0.0000  0.5000  0.5000
Hg  0.2585  0.1563  0.6171
Hg  0.2585  0.3437  0.1171
Hg  0.7415  0.6563  0.8829
Hg  0.7415  0.8437  0.3829
O  0.3972  0.5285  0.0346
O  0.3972  0.9715  0.5346
O  0.6028  0.0285  0.4654
O  0.6028  0.4715  0.9654
F  0.1025  0.1137  0.8753
F  0.1025  0.3863  0.3753
F  0.1110  0.1359  0.1673
F  0.1110  0.3641  0.6673
F  0.3205  0.5781  0.5782
F  0.3205  0.9219  0.0782
F  0.6795  0.0781  0.9218
F  0.6795  0.4219  0.4218
F  0.8890  0.6359  0.3327
F  0.8890  0.8641  0.8327
F  0.8975  0.6137  0.6247
F  0.8975  0.8863  0.1247

Largest 10 diffraction maxima, low angle first, 2θ from 15° to 90°:
two_theta, d_spacing, I/Imax
21.20, 4.191, 100.0
22.60, 3.934, 50.4
23.20, 3.834, 56.9
24.64, 3.614, 56.4
26.56, 3.356, 39.4
31.67, 2.826, 21.5
34.81, 2.578, 25.4
39.66, 2.272, 29.7
44.09, 2.054, 21.4
45.25, 2.004, 22.0

9.
Starting from a GGA-PBE-relaxed structure, the XRD peak list of Sm2ZnS4 was calculated for Cu Kα, 1.54184 Å.
Lines closer than 0.1° are merged.

Cell and atoms:
abc: 7.3696 7.3696 7.3696
angles: 111.29 111.29 105.88
Fractional coordinates of all 14 atoms:
Sm  0.0208  0.1250  0.3958
Sm  0.3750  0.9792  0.1042
Sm  0.7292  0.6250  0.6042
Sm  0.8750  0.2708  0.8958
Zn  0.2500  0.7500  0.5000
Zn  0.5000  0.5000  0.0000
S  0.0377  0.7566  0.1533
S  0.1155  0.9623  0.7189
S  0.1466  0.4934  0.7811
S  0.2434  0.3966  0.2811
S  0.5066  0.2877  0.6533
S  0.6034  0.8845  0.8467
S  0.6345  0.8534  0.3467
S  0.7123  0.3655  0.2189

Largest 10 diffraction maxima, low angle first, 2θ from 15° to 90°:
two_theta, d_spacing, I/Imax
21.37, 4.159, 26.4
25.13, 3.544, 84.3
25.97, 3.431, 100.0
32.09, 2.789, 44.4
33.87, 2.646, 51.3
34.09, 2.630, 61.6
38.88, 2.316, 49.9
40.40, 2.233, 33.5
46.35, 1.959, 26.9
50.13, 1.820, 37.5

10.
Starting from a GGA-PBE-relaxed structure, the XRD peak list of PmZn2Hg was calculated for Cu Kα, 1.54184 Å.
Lines closer than 0.1° are merged.

Cell and atoms:
abc: 4.8990 4.8990 4.8990
angles: 60.00 60.00 60.00
Fractional coordinates of all 4 atoms:
Pm  0.0000  0.0000  0.0000
Zn  0.2500  0.2500  0.2500
Zn  0.7500  0.7500  0.7500
Hg  0.5000  0.5000  0.5000

Largest 10 diffraction maxima, low angle first, 2θ from 15° to 90°:
two_theta, d_spacing, I/Imax
22.22, 4.000, 2.5
25.72, 3.464, 21.3
36.69, 2.449, 100.0
45.34, 2.000, 6.5
52.86, 1.732, 17.4
59.69, 1.549, 9.0
66.07, 1.414, 35.3
78.02, 1.225, 11.0
83.77, 1.155, 4.8
89.46, 1.095, 16.2

11.
Starting from a GGA-PBE-relaxed structure, the XRD peak list of Tc7B3 was calculated for Cu Kα, 1.54184 Å.
Lines closer than 0.1° are merged.

Cell and atoms:
abc: 7.5170 7.5170 4.8665
angles: 90.00 90.00 120.00
Fractional coordinates of all 20 atoms:
Tc  0.0913  0.5456  0.0000
Tc  0.1236  0.2473  0.7054
Tc  0.1236  0.8764  0.7054
Tc  0.2473  0.1236  0.2054
Tc  0.3333  0.6667  0.5339
Tc  0.4544  0.5456  0.0000
Tc  0.4544  0.9087  0.0000
Tc  0.5456  0.0913  0.5000
Tc  0.5456  0.4544  0.5000
Tc  0.6667  0.3333  0.0339
Tc  0.7527  0.8764  0.7054
Tc  0.8764  0.1236  0.2054
Tc  0.8764  0.7527  0.2054
Tc  0.9087  0.4544  0.5000
B  0.1894  0.3789  0.2909
B  0.1894  0.8106  0.2909
B  0.3789  0.1894  0.7909
B  0.6211  0.8106  0.2909
B  0.8106  0.1894  0.7909
B  0.8106  0.6211  0.7909

Largest 10 diffraction maxima, low angle first, 2θ from 15° to 90°:
two_theta, d_spacing, I/Imax
33.11, 2.706, 20.2
36.52, 2.461, 29.4
39.54, 2.279, 42.2
41.11, 2.196, 100.0
45.78, 1.982, 33.0
46.60, 1.949, 22.7
72.79, 1.299, 17.7
74.55, 1.273, 22.2
75.60, 1.258, 15.1
75.95, 1.253, 14.5